Computed X-ray powder pattern of Tl2B2MoO6 for a wavelength of 1.5418 Å, from a PBE+U-relaxed structure.
Kinematic intensities with the Lorentz-polarization factor, no thermal factor.

Main lines, sorted by position (2θ = 10–80°):
d/Å  I/Imax
4.181  46.8
3.420  55.7
3.060  100.0
2.642  64.8
2.091  26.1
1.729  42.9

Structure:
```
Tl2B2MoO6
1.0
2.642 1.525 6.860
-2.642 1.525 6.860
0.000 -3.050 6.860
Tl B Mo O
2 2 1 6
direct
0.217 0.217 0.217
0.783 0.783 0.783
0.390 0.390 0.390
0.610 0.610 0.610
0.000 0.000 0.000
0.242 0.242 0.694
0.242 0.694 0.242
0.306 0.758 0.758
0.694 0.242 0.242
0.758 0.306 0.758
0.758 0.758 0.306
```